# Y4AlAg2Pd
Calculated powder XRD pattern, Cu Kα X-rays. Input: a cell relaxed with PBE.
Neutral-atom scattering factors, no anomalous dispersion.

Most intense lines, 10° ≤ 2θ ≤ 90°, in order of falling intensity:
two_theta, d/Å, Rel. int.
35.2, 2.552, 1000
63.1, 1.474, 328
50.6, 1.805, 167
85.0, 1.141, 134
74.3, 1.276, 97
20.4, 4.355, 36
48.4, 1.879, 36
21.3, 4.167, 35
10.6, 8.327, 27
32.2, 2.776, 20

Atomic structure:
Cell: 8.834 8.834 8.834 Å, 33.60 33.60 33.60°
Sites, in units of the cell vectors:
Y 0.121 0.121 0.121
Y 0.372 0.372 0.372
Y 0.628 0.628 0.628
Y 0.879 0.879 0.879
Al 0.500 0.500 0.500
Ag 0.243 0.243 0.243
Ag 0.757 0.757 0.757
Pd 0.000 0.000 0.000